(1)
Calculated PXRD pattern
Compound: TlRe3S4Cl2
Radiation: Cu Kα (weighted mean of Kα1 and Kα2)
Structure: DFT lattice parameters and positions (PBE)
Neutral-atom scattering factors, no anomalous dispersion.

Main lines, low angle first (2θ from 10° to 90°):
hkl 0 0 2, 10.66 deg, I 100
hkl 0 1 -1, 10.85 deg, I 78
hkl 0 1 1, 11.76 deg, I 69
hkl 1 0 -1, 14.64 deg, I 25
hkl 1 -1 0, 16.22 deg, I 54
hkl 0 1 -3, 18.06 deg, I 83
hkl 0 1 3, 19.72 deg, I 18
hkl 1 1 4, 29.50 deg, I 23
hkl 2 -3 1, 39.37 deg, I 26
hkl -1 4 3, 46.08 deg, I 15

Structure:
```
TlRe3S4Cl2
1.0
6.405 0.000 0.000
-0.968 8.906 0.000
-0.754 -1.616 16.605
Tl Re S Cl
4 12 16 8
Cartesian
-0.540 3.821 5.826
2.790 -0.264 2.811
1.893 7.554 13.794
5.222 3.468 10.780
-0.765 1.251 15.759
-0.764 3.808 15.099
0.157 7.425 8.376
1.225 4.615 0.646
2.339 0.273 6.877
2.353 0.524 9.510
2.330 6.765 7.095
2.344 7.017 9.729
3.457 2.675 15.960
4.525 -0.135 8.230
5.447 3.481 1.506
5.448 6.039 0.847
0.385 0.923 8.150
0.240 5.175 2.772
0.259 7.227 5.969
1.102 2.276 1.209
0.285 7.697 10.775
1.111 6.944 0.000
1.144 5.241 8.587
1.192 2.396 14.925
3.490 4.894 1.680
3.538 2.048 8.018
3.572 0.346 16.605
4.397 -0.408 5.831
3.581 5.013 15.396
4.423 0.063 10.636
4.442 2.115 13.834
4.297 6.367 8.455
-0.217 -0.792 14.616
-0.121 5.065 13.145
1.667 1.653 5.020
1.774 2.231 11.105
2.909 5.058 5.501
3.015 5.636 11.586
4.803 2.224 3.460
4.900 8.081 1.990
```

***

(2)
Calculated PXRD pattern
Compound: ReSeCl4
Radiation: Cu Kα (weighted mean of Kα1 and Kα2)
Structure: DFT lattice parameters and positions (PBE)
Neutral-atom scattering factors, no anomalous dispersion.

Main lines, low angle first (2θ from 10° to 90°):
hkl 1 0 0, 13.81 deg, I 45
hkl 0 1 1, 15.24 deg, I 100
hkl 1 0 1, 16.90 deg, I 71
hkl 1 1 0, 17.02 deg, I 64
hkl 1 1 1, 18.10 deg, I 76
hkl 0 1 -1, 18.62 deg, I 62
hkl 1 -1 0, 19.80 deg, I 58
hkl 0 2 0, 24.53 deg, I 59
hkl 1 0 -2, 29.23 deg, I 51
hkl 2 1 2, 33.16 deg, I 55

Structure:
```
ReSeCl4
1.0
6.588 0.000 0.000
1.373 7.403 0.000
1.349 1.502 7.491
Re Se Cl
2 2 8
Cartesian
1.563 1.839 1.794
7.747 7.067 5.698
4.070 3.321 7.405
5.240 5.585 0.086
1.812 4.894 5.426
3.318 7.475 6.350
2.966 7.048 2.505
3.098 2.248 3.422
6.212 6.657 4.070
6.344 1.858 4.987
5.991 1.430 1.141
7.498 4.012 2.065
```

***

(3)
Calculated PXRD pattern
Compound: ReSe4Cl6
Radiation: Cu Kα (weighted mean of Kα1 and Kα2)
Structure: DFT lattice parameters and positions (PBE)
Neutral-atom scattering factors, no anomalous dispersion.

Main lines, low angle first (2θ from 10° to 90°):
hkl 0 2 0, 16.07 deg, I 57
hkl 2 0 0, 16.66 deg, I 48
hkl 0 0 2, 17.03 deg, I 100
hkl 2 0 2, 23.91 deg, I 36
hkl 1 3 1, 27.04 deg, I 33
hkl 2 2 2, 28.94 deg, I 29
hkl 2 1 3, 31.83 deg, I 25
hkl 3 1 3, 37.14 deg, I 34
hkl 1 5 1, 42.74 deg, I 43
hkl 5 1 1, 44.19 deg, I 28

Structure:
```
ReSe4Cl6
1.0
10.644 0.000 0.000
0.000 11.033 0.000
0.000 0.000 10.415
Re Se Cl
4 16 24
Cartesian
0.000 0.000 0.000
0.000 5.517 5.207
5.322 0.000 5.207
5.322 5.517 0.000
0.949 1.121 4.424
0.949 4.395 9.631
1.163 6.661 10.178
1.163 9.889 4.970
4.159 6.661 4.970
4.159 9.889 10.178
4.373 1.121 9.631
4.373 4.395 4.424
6.271 6.638 5.991
6.271 9.912 0.784
6.485 1.144 0.237
6.485 4.372 5.444
9.481 1.144 5.444
9.481 4.372 0.237
9.695 6.638 0.784
9.695 9.912 5.991
0.930 7.298 6.462
0.930 9.252 1.255
1.381 1.518 1.121
1.381 3.999 6.328
1.671 5.810 3.551
1.671 10.740 8.758
3.651 5.810 8.758
3.651 10.740 3.551
3.941 1.518 6.328
3.941 3.999 1.121
4.392 7.298 1.255
4.392 9.252 6.462
6.252 1.781 3.953
6.252 3.735 9.160
6.703 7.035 9.294
6.703 9.515 4.087
6.993 0.294 6.864
6.993 5.223 1.657
8.973 0.294 1.657
8.973 5.223 6.864
9.263 7.035 4.087
9.263 9.515 9.294
9.714 1.781 9.160
9.714 3.735 3.953
```

***

(4)
Calculated PXRD pattern
Compound: Re3Te8Cl3
Radiation: Cu Kα (weighted mean of Kα1 and Kα2)
Structure: DFT lattice parameters and positions (PBE)
Neutral-atom scattering factors, no anomalous dispersion.

Main lines, low angle first (2θ from 10° to 90°):
hkl 1 1 0, 11.30 deg, I 100
hkl 1 0 1, 13.11 deg, I 95
hkl 1 4 2, 27.33 deg, I 32
hkl 2 4 0, 28.18 deg, I 31
hkl 2 1 3, 32.72 deg, I 25
hkl 3 5 0, 39.59 deg, I 32
hkl 1 4 4, 39.89 deg, I 26
hkl 3 1 3, 40.37 deg, I 33
hkl 0 5 4, 41.24 deg, I 32
hkl 3 2 4, 47.10 deg, I 26

Structure:
```
Re3Te8Cl3
1.0
8.635 0.000 0.000
0.000 18.597 0.000
0.000 0.000 10.833
Re Te Cl
12 32 12
Cartesian
0.414 1.867 2.093
1.322 18.298 0.746
1.319 18.305 3.443
2.999 9.007 7.391
2.995 9.000 10.087
3.904 11.166 8.740
4.731 7.431 8.740
5.636 9.591 7.391
5.640 9.598 10.087
7.313 0.299 0.746
7.316 0.292 3.443
8.221 16.730 2.093
0.413 1.916 4.802
0.426 1.896 10.210
1.057 4.538 1.936
1.092 8.284 5.576
1.104 8.287 1.096
1.276 10.607 8.739
1.963 0.114 7.497
2.130 6.775 8.734
2.187 16.074 2.099
2.355 9.413 3.337
3.041 1.308 2.094
3.214 17.586 9.738
3.225 17.583 5.258
3.260 13.836 8.897
3.892 11.194 0.623
3.905 11.214 6.031
4.730 7.383 6.031
4.743 7.403 0.623
5.374 4.761 8.897
5.410 1.015 5.258
5.421 1.012 9.738
5.594 17.289 2.094
6.280 9.184 3.337
6.448 2.523 2.099
6.505 11.822 8.734
6.672 18.483 7.497
7.359 7.991 8.739
7.531 10.310 1.096
7.543 10.313 5.576
7.578 14.060 1.936
8.209 16.702 10.210
8.222 16.682 4.802
0.509 13.099 3.529
0.909 13.401 0.019
1.494 14.009 7.163
2.823 4.711 3.670
3.409 4.103 10.814
3.808 3.801 7.305
4.827 14.797 7.305
5.226 14.495 10.814
5.812 13.886 3.670
7.141 4.588 7.163
7.726 5.196 0.019
8.125 5.498 3.529
```

***

(5)
Calculated PXRD pattern
Compound: WSeS2Cl5
Radiation: Cu Kα (weighted mean of Kα1 and Kα2)
Structure: DFT lattice parameters and positions (PBE)
Neutral-atom scattering factors, no anomalous dispersion.

Main lines, low angle first (2θ from 10° to 90°):
hkl 1 1 0, 11.74 deg, I 100
hkl 0 0 2, 14.86 deg, I 95
hkl 2 1 0, 20.36 deg, I 9
hkl 0 2 0, 21.13 deg, I 10
hkl 1 0 3, 22.45 deg, I 8
hkl 0 2 -2, 28.21 deg, I 8
hkl -1 2 3, 35.14 deg, I 8
hkl 1 -2 3, 36.78 deg, I 9
hkl 4 2 3, 39.17 deg, I 8
hkl 4 2 5, 44.92 deg, I 11

Structure:
```
WSeS2Cl5
1.0
9.377 0.000 0.000
4.686 8.561 0.000
4.685 2.284 11.898
W Se S Cl
4 4 8 20
Cartesian
4.074 4.103 2.833
4.075 1.311 3.115
14.674 9.535 8.783
14.675 6.742 9.065
6.426 5.438 2.836
7.635 2.310 8.787
11.114 8.535 3.111
12.323 5.407 9.062
3.235 2.880 4.783
3.234 2.534 1.164
5.251 2.871 4.585
5.251 2.543 1.361
13.498 8.302 10.537
13.498 7.974 7.313
15.515 8.311 10.734
15.514 7.966 7.115
5.087 4.753 7.637
6.485 9.164 3.240
4.482 5.681 0.984
7.574 6.035 9.189
11.190 10.497 10.681
9.173 8.294 4.963
10.867 9.758 7.508
7.557 5.065 4.729
8.972 7.882 1.685
10.868 6.519 10.341
7.881 4.326 1.557
9.777 2.963 10.213
11.192 5.780 7.169
7.882 1.087 4.391
9.576 2.551 6.935
7.559 0.349 1.217
11.175 4.810 2.709
14.267 5.164 10.914
12.264 1.681 8.659
13.662 6.093 4.262
```

***

(6)
Calculated PXRD pattern
Compound: TbTmS2Cl2
Radiation: Cu Kα (weighted mean of Kα1 and Kα2)
Structure: DFT lattice parameters and positions (PBE)
Neutral-atom scattering factors, no anomalous dispersion.

Main lines, low angle first (2θ from 10° to 90°):
hkl 0 0 1, 10.54 deg, I 100
hkl 0 1 1, 19.72 deg, I 74
hkl 1 0 1, 24.79 deg, I 28
hkl 0 1 2, 27.03 deg, I 16
hkl 1 1 1, 29.99 deg, I 26
hkl 1 0 2, 30.99 deg, I 64
hkl 0 2 0, 33.60 deg, I 28
hkl 0 0 4, 43.04 deg, I 41
hkl 1 2 2, 46.36 deg, I 41
hkl 2 2 0, 57.87 deg, I 15

Structure:
```
TbTmS2Cl2
1.0
3.974 0.000 0.000
0.000 5.334 0.000
0.000 0.000 8.394
Tb Tm S Cl
1 1 2 2
Cartesian
0.000 0.000 0.000
1.987 2.667 2.335
0.000 2.667 0.492
1.987 0.000 1.918
0.000 2.667 4.070
1.987 0.000 6.601
```

***

(7)
Calculated PXRD pattern
Compound: TbSmSbCl2
Radiation: Cu Kα (weighted mean of Kα1 and Kα2)
Structure: DFT lattice parameters and positions (PBE)
Neutral-atom scattering factors, no anomalous dispersion.

Main lines, low angle first (2θ from 10° to 90°):
hkl 1 0 1, 25.82 deg, I 38
hkl 1 0 2, 29.72 deg, I 100
hkl 1 0 3, 35.36 deg, I 29
hkl 0 1 4, 42.13 deg, I 38
hkl 1 1 0, 42.94 deg, I 36
hkl 1 1 1, 43.82 deg, I 16
hkl 0 2 2, 53.09 deg, I 19
hkl 1 1 6, 69.41 deg, I 16
hkl 2 1 2, 70.57 deg, I 16
hkl 1 2 4, 78.12 deg, I 12

Structure:
```
TbSmSbCl2
1.0
4.213 0.000 0.000
-2.106 3.648 0.000
0.000 0.000 10.605
Tb Sm Sb Cl
1 1 1 2
Cartesian
0.000 0.000 0.000
0.000 2.432 3.582
2.106 1.216 1.751
0.000 0.000 5.146
0.000 2.432 9.093
```

***

(8)
Calculated PXRD pattern
Compound: TbScCl6
Radiation: Cu Kα (weighted mean of Kα1 and Kα2)
Structure: DFT lattice parameters and positions (PBE)
Neutral-atom scattering factors, no anomalous dispersion.

Main lines, low angle first (2θ from 10° to 90°):
hkl 0 0 1, 14.77 deg, I 71
hkl 0 2 0, 15.34 deg, I 28
hkl 1 1 0, 16.17 deg, I 50
hkl 1 1 -1, 18.25 deg, I 36
hkl 0 2 1, 21.36 deg, I 24
hkl 1 1 1, 25.15 deg, I 16
hkl 2 0 -1, 27.24 deg, I 40
hkl 1 3 1, 33.48 deg, I 100
hkl 3 3 -1, 47.32 deg, I 22
hkl 1 3 -3, 48.80 deg, I 23

Structure:
```
TbScCl6
1.0
6.650 0.000 0.000
0.000 11.549 0.000
-2.239 0.000 5.999
Tb Sc Cl
2 2 12
Cartesian
0.000 0.000 0.000
3.325 5.775 0.000
0.000 7.720 0.000
3.325 1.946 0.000
0.937 9.531 1.447
-0.184 7.628 4.580
1.093 5.979 1.435
-0.008 0.204 4.565
1.269 1.853 1.420
0.148 3.756 4.552
4.262 3.756 1.447
3.141 1.853 4.580
4.418 0.204 1.435
3.317 5.979 4.565
4.594 7.628 1.420
3.473 9.531 4.552
```